(1)
This entry pairs a crystal structure of NdHo2ThBi5 with its simulated X-ray powder pattern. Radiation: Cu Kα (λ = 1.5418 Å). Structure: DFT lattice parameters and positions (PBE).

Atomic structure:
Lattice parameters (Å, degrees): 5.7136 5.7136 12.0950 90.00 90.00 90.00
Sites, in units of the cell vectors:
Nd1 0.0000 0.0000 0.0000
Ho1 0.5000 0.5000 0.2637
Ho2 0.5000 0.5000 0.7363
Th1 0.0000 0.0000 0.5000
Bi1 0.0000 0.0000 0.2450
Bi2 0.0000 0.0000 0.7550
Bi3 0.0000 0.5000 0.5000
Bi4 0.5000 0.0000 0.5000
Bi5 0.5000 0.5000 0.0000

Main lines, by angle (10° ≤ 2θ ≤ 90°):
22.00°, intensity 55
23.21°, intensity 32
29.54°, intensity 46
31.32°, intensity 100
37.14°, intensity 28
43.59°, intensity 70
44.87°, intensity 31
54.64°, intensity 34

(2)
This entry pairs a crystal structure of Na3B4C2 with its simulated X-ray powder pattern. Radiation: Cu Kα (λ = 1.5418 Å). Structure: DFT lattice parameters and positions (PBE).

Atomic structure:
Lattice parameters (Å, degrees): 7.8020 7.8020 8.5751 90.00 90.00 159.26
Sites, in units of the cell vectors:
Na1 0.0000 0.0000 0.0000
Na2 0.0000 0.0000 0.5000
Na3 0.3334 0.6666 0.5018
Na4 0.3334 0.6666 0.9982
Na5 0.6666 0.3334 0.0018
Na6 0.6666 0.3334 0.4982
B1 0.1237 0.8763 0.7500
B2 0.2209 0.7791 0.2500
B3 0.4367 0.5633 0.7500
B4 0.4499 0.5501 0.2500
B5 0.5501 0.4499 0.7500
B6 0.5633 0.4367 0.2500
B7 0.7791 0.2209 0.7500
B8 0.8763 0.1237 0.2500
C1 0.1164 0.8836 0.2500
C2 0.2252 0.7748 0.7500
C3 0.7748 0.2252 0.2500
C4 0.8836 0.1164 0.7500

Main lines, by angle (10° ≤ 2θ ≤ 90°):
35.08°, intensity 12
36.49°, intensity 16
41.09°, intensity 49
42.15°, intensity 38
42.33°, intensity 100
63.85°, intensity 17
77.17°, intensity 13
79.51°, intensity 17

(3)
This entry pairs a crystal structure of PrMgH6Pd4 with its simulated X-ray powder pattern. Radiation: Cu Kα (λ = 1.5418 Å). Structure: DFT lattice parameters and positions (PBE).

Atomic structure:
Lattice parameters (Å, degrees): 4.7613 4.7613 6.9657 90.00 90.00 120.00
Sites, in units of the cell vectors:
Pr1 0.0000 0.0000 0.0000
Mg1 0.0000 0.0000 0.5000
H1 0.0000 0.5000 0.1480
H2 0.0000 0.5000 0.8520
H3 0.5000 0.0000 0.1480
H4 0.5000 0.0000 0.8520
H5 0.5000 0.5000 0.1480
H6 0.5000 0.5000 0.8520
Pd1 0.3333 0.6667 0.3061
Pd2 0.3333 0.6667 0.6939
Pd3 0.6667 0.3333 0.3061
Pd4 0.6667 0.3333 0.6939

Main lines, by angle (10° ≤ 2θ ≤ 90°):
25.10°, intensity 58
33.68°, intensity 85
37.79°, intensity 100
38.78°, intensity 20
51.51°, intensity 25
55.26°, intensity 45
65.63°, intensity 24
68.23°, intensity 17

(4)
This entry pairs a crystal structure of Ni2As3 with its simulated X-ray powder pattern. Radiation: Cu Kα (λ = 1.5418 Å). Structure: DFT lattice parameters and positions (PBE).

Atomic structure:
Lattice parameters (Å, degrees): 5.9878 5.9878 5.9878 62.82 62.82 62.82
Sites, in units of the cell vectors:
Ni1 0.1588 0.1588 0.1588
Ni2 0.3412 0.3412 0.3412
Ni3 0.6588 0.6588 0.6588
Ni4 0.8412 0.8412 0.8412
As1 0.0811 0.7500 0.4189
As2 0.2500 0.5811 0.9189
As3 0.4189 0.0811 0.7500
As4 0.5811 0.9189 0.2500
As5 0.7500 0.4189 0.0811
As6 0.9189 0.2500 0.5811

Main lines, by angle (10° ≤ 2θ ≤ 90°):
20.57°, intensity 14
34.31°, intensity 100
47.93°, intensity 54
50.66°, intensity 52
62.62°, intensity 17
65.79°, intensity 15
72.31°, intensity 15
84.62°, intensity 15